Record 1
Calculated powder diffraction line list of LuSnOsRh for λ = 1.5418 Å (Cu Kα), from the GGA-PBE geometry in Alexandria.
No peak broadening, texture or thermal motion is included.

Structure:
Lattice parameters (Å, degrees): 6.559 6.559 6.559 90.00 90.00 90.00
Space group F-43m (No. 216)
Symmetry-distinct sites (fractional):
Lu 0.000 0.000 0.000 x4
Sn 0.000 0.000 0.500 x4
Os 0.250 0.250 0.250 x4
Rh 0.250 0.250 0.750 x4

The 6 most intense peaks (2θ = 10–90°), in order of rising 2θ:
| 2theta | I (rel.) |
| --- | --- |
| 23.49 | 6 |
| 38.84 | 100 |
| 45.89 | 3 |
| 56.09 | 17 |
| 70.32 | 36 |
| 83.35 | 11 |

=====

Record 2
Calculated powder diffraction line list of SmLuOs for λ = 1.5418 Å (Cu Kα), from the GGA-PBE geometry in Alexandria.
No peak broadening, texture or thermal motion is included.

Structure:
Lattice parameters (Å, degrees): 3.393 3.393 13.147 90.00 90.00 90.00
Space group I4mm (No. 107)
Symmetry-distinct sites (fractional):
Sm 0.000 0.000 0.000 x2
Lu 0.000 0.000 0.252 x2
Os 0.000 0.000 0.633 x2

The 6 most intense peaks (2θ = 10–90°), in order of rising 2θ:
| 2theta | I (rel.) |
| --- | --- |
| 13.47 | 43 |
| 33.40 | 100 |
| 37.49 | 55 |
| 43.54 | 46 |
| 65.05 | 30 |
| 71.83 | 22 |

=====

Record 3
Calculated powder diffraction line list of SmLuTlOs for λ = 1.5418 Å (Cu Kα), from the GGA-PBE geometry in Alexandria.
No peak broadening, texture or thermal motion is included.

Structure:
Lattice parameters (Å, degrees): 7.172 7.172 7.172 90.00 90.00 90.00
Space group F-43m (No. 216)
Symmetry-distinct sites (fractional):
Sm 0.000 0.000 0.000 x4
Lu 0.000 0.000 0.500 x4
Tl 0.250 0.250 0.250 x4
Os 0.250 0.250 0.750 x4

The 6 most intense peaks (2θ = 10–90°), in order of rising 2θ:
| 2theta | I (rel.) |
| --- | --- |
| 24.83 | 1 |
| 35.40 | 100 |
| 50.93 | 18 |
| 63.55 | 37 |
| 74.90 | 12 |
| 85.66 | 17 |

=====

Record 4
Calculated powder diffraction line list of Lu2TlP for λ = 1.5418 Å (Cu Kα), from the GGA-PBE geometry in Alexandria.
No peak broadening, texture or thermal motion is included.

Structure:
Lattice parameters (Å, degrees): 3.8150 3.8150 23.5101 90.00 90.00 120.00
Space group R-3m (No. 166, hexagonal axes)
Symmetry-distinct sites (fractional):
Lu 0.0000 0.0000 0.2335 x6
Tl 0.0000 0.0000 0.0000 x3
P 0.0000 0.0000 0.5000 x3

The 6 most intense peaks (2θ = 10–90°), in order of rising 2θ:
| 2theta | I (rel.) |
| --- | --- |
| 27.26 | 19 |
| 31.05 | 100 |
| 33.14 | 32 |
| 41.11 | 34 |
| 47.68 | 34 |
| 60.06 | 21 |

=====

Record 5
Calculated powder diffraction line list of PmLuScPa for λ = 1.5418 Å (Cu Kα), from the GGA-PBE geometry in Alexandria.
No peak broadening, texture or thermal motion is included.

Structure:
Lattice parameters (Å, degrees): 7.683 7.683 7.683 90.00 90.00 90.00
Space group F-43m (No. 216)
Symmetry-distinct sites (fractional):
Pm 0.000 0.000 0.000 x4
Lu 0.250 0.250 0.250 x4
Sc 0.000 0.000 0.500 x4
Pa 0.250 0.250 0.750 x4

The 6 most intense peaks (2θ = 10–90°), in order of rising 2θ:
| 2theta | I (rel.) |
| --- | --- |
| 23.15 | 14 |
| 32.97 | 100 |
| 47.32 | 18 |
| 58.88 | 38 |
| 69.16 | 12 |
| 78.78 | 17 |

=====

Record 6
Calculated powder diffraction line list of PrLuPa4 for λ = 1.5418 Å (Cu Kα), from the GGA-PBE geometry in Alexandria.
No peak broadening, texture or thermal motion is included.

Structure:
Lattice parameters (Å, degrees): 8.718 8.718 8.718 90.00 90.00 90.00
Space group F-43m (No. 216)
Symmetry-distinct sites (fractional):
Pr 0.000 0.000 0.000 x4
Lu 0.250 0.250 0.750 x4
Pa 0.125 0.125 0.375 x16

The 6 most intense peaks (2θ = 10–90°), in order of rising 2θ:
| 2theta | I (rel.) |
| --- | --- |
| 34.11 | 100 |
| 35.68 | 53 |
| 54.71 | 36 |
| 60.03 | 33 |
| 71.83 | 22 |
| 85.57 | 23 |

=====

Record 7
Calculated powder diffraction line list of LuPuPa for λ = 1.5418 Å (Cu Kα), from the GGA-PBE geometry in Alexandria.
No peak broadening, texture or thermal motion is included.

Structure:
Lattice parameters (Å, degrees): 3.3557 3.3557 8.1117 90.00 90.00 120.00
Space group P3m1 (No. 156)
Symmetry-distinct sites (fractional):
Lu 0.0000 0.0000 0.0000 x1
Pu 0.3333 0.6667 0.6427 x1
Pa 0.6667 0.3333 0.3336 x1

The 6 most intense peaks (2θ = 10–90°), in order of rising 2θ:
| 2theta | I (rel.) |
| --- | --- |
| 32.73 | 100 |
| 33.13 | 31 |
| 38.09 | 68 |
| 54.71 | 24 |
| 55.23 | 22 |
| 65.47 | 27 |

=====

Record 8
Calculated powder diffraction line list of LuPaTc4 for λ = 1.5418 Å (Cu Kα), from the GGA-PBE geometry in Alexandria.
No peak broadening, texture or thermal motion is included.

Structure:
Lattice parameters (Å, degrees): 7.602 7.602 7.602 90.00 90.00 90.00
Space group F-43m (No. 216)
Symmetry-distinct sites (fractional):
Lu 0.000 0.000 0.000 x4
Pa 0.250 0.250 0.250 x4
Tc 0.125 0.125 0.625 x16

The 6 most intense peaks (2θ = 10–90°), in order of rising 2θ:
| 2theta | I (rel.) |
| --- | --- |
| 33.33 | 53 |
| 39.31 | 100 |
| 41.13 | 20 |
| 59.57 | 21 |
| 63.59 | 32 |
| 70.01 | 25 |

=====

Record 9
Calculated powder diffraction line list of Lu6Pb5 for λ = 1.5418 Å (Cu Kα), from the GGA-PBE geometry in Alexandria.
No peak broadening, texture or thermal motion is included.

Structure:
Lattice parameters (Å, degrees): 9.299 20.222 6.462 90.00 90.00 90.00
Space group Ibam (No. 72)
Symmetry-distinct sites (fractional):
Lu 0.000 0.195 0.250 x8
Lu 0.112 0.358 0.000 x8
Lu 0.233 0.060 0.000 x8
Pb 0.000 0.500 0.250 x4
Pb 0.101 0.075 0.500 x8
Pb 0.196 0.294 0.500 x8

The 6 most intense peaks (2θ = 10–90°), in order of rising 2θ:
| 2theta | I (rel.) |
| --- | --- |
| 31.44 | 75 |
| 31.77 | 61 |
| 32.20 | 100 |
| 32.45 | 93 |
| 33.26 | 100 |
| 33.78 | 57 |

=====

Record 10
Calculated powder diffraction line list of LuScPdPb for λ = 1.5418 Å (Cu Kα), from the GGA-PBE geometry in Alexandria.
No peak broadening, texture or thermal motion is included.

Structure:
Lattice parameters (Å, degrees): 7.095 7.095 7.095 90.00 90.00 90.00
Space group F-43m (No. 216)
Symmetry-distinct sites (fractional):
Lu 0.000 0.000 0.000 x4
Sc 0.000 0.000 0.500 x4
Pd 0.250 0.250 0.250 x4
Pb 0.250 0.250 0.750 x4

The 6 most intense peaks (2θ = 10–90°), in order of rising 2θ:
| 2theta | I (rel.) |
| --- | --- |
| 21.70 | 20 |
| 35.80 | 100 |
| 42.25 | 12 |
| 51.53 | 18 |
| 64.33 | 36 |
| 86.82 | 16 |

=====

Record 11
Calculated powder diffraction line list of LuRu2Pb for λ = 1.5418 Å (Cu Kα), from the GGA-PBE geometry in Alexandria.
No peak broadening, texture or thermal motion is included.

Structure:
Lattice parameters (Å, degrees): 4.618 4.618 3.401 90.00 90.00 90.00
Space group P4/mmm (No. 123)
Symmetry-distinct sites (fractional):
Lu 0.000 0.000 0.000 x1
Ru 0.000 0.500 0.500 x2
Pb 0.500 0.500 0.000 x1

The 6 most intense peaks (2θ = 10–90°), in order of rising 2θ:
| 2theta | I (rel.) |
| --- | --- |
| 38.21 | 100 |
| 39.01 | 47 |
| 56.35 | 16 |
| 68.53 | 18 |
| 70.13 | 34 |
| 81.78 | 11 |

=====

Record 12
Calculated powder diffraction line list of LuSn2Pb for λ = 1.5418 Å (Cu Kα), from the GGA-PBE geometry in Alexandria.
No peak broadening, texture or thermal motion is included.

Structure:
Lattice parameters (Å, degrees): 4.770 4.770 4.703 90.00 90.00 90.00
Space group P4/mmm (No. 123)
Symmetry-distinct sites (fractional):
Lu 0.000 0.000 0.000 x1
Sn 0.000 0.500 0.500 x2
Pb 0.500 0.500 0.000 x1

The 6 most intense peaks (2θ = 10–90°), in order of rising 2θ:
| 2theta | I (rel.) |
| --- | --- |
| 32.67 | 100 |
| 37.72 | 34 |
| 38.28 | 16 |
| 54.83 | 24 |
| 64.92 | 29 |
| 65.68 | 14 |

=====

Record 13
Calculated powder diffraction line list of YLuPb for λ = 1.5418 Å (Cu Kα), from the GGA-PBE geometry in Alexandria.
No peak broadening, texture or thermal motion is included.

Structure:
Lattice parameters (Å, degrees): 3.590 3.590 13.551 90.00 90.00 90.00
Space group I4mm (No. 107)
Symmetry-distinct sites (fractional):
Y 0.000 0.000 0.000 x2
Lu 0.000 0.000 0.322 x2
Pb 0.000 0.000 0.664 x2

The 6 most intense peaks (2θ = 10–90°), in order of rising 2θ:
| 2theta | I (rel.) |
| --- | --- |
| 31.84 | 100 |
| 35.36 | 38 |
| 39.92 | 13 |
| 50.86 | 14 |
| 54.37 | 22 |
| 61.27 | 31 |

=====

Record 14
Calculated powder diffraction line list of Lu5Pd for λ = 1.5418 Å (Cu Kα), from the GGA-PBE geometry in Alexandria.
No peak broadening, texture or thermal motion is included.

Structure:
Lattice parameters (Å, degrees): 3.785 15.672 5.289 90.00 90.00 90.00
Space group Cmmm (No. 65)
Symmetry-distinct sites (fractional):
Lu 0.000 0.000 0.000 x2
Lu 0.000 0.144 0.500 x4
Lu 0.000 0.329 0.000 x4
Pd 0.000 0.500 0.500 x2

The 6 most intense peaks (2θ = 10–90°), in order of rising 2θ:
| 2theta | I (rel.) |
| --- | --- |
| 33.82 | 100 |
| 34.33 | 16 |
| 49.02 | 12 |
| 60.13 | 8 |
| 60.59 | 15 |
| 61.15 | 9 |

=====

Record 15
Calculated powder diffraction line list of LuThTlPd for λ = 1.5418 Å (Cu Kα), from the GGA-PBE geometry in Alexandria.
No peak broadening, texture or thermal motion is included.

Structure:
Lattice parameters (Å, degrees): 7.407 7.407 7.407 90.00 90.00 90.00
Space group F-43m (No. 216)
Symmetry-distinct sites (fractional):
Lu 0.000 0.000 0.000 x4
Th 0.000 0.000 0.500 x4
Tl 0.250 0.250 0.750 x4
Pd 0.250 0.250 0.250 x4

The 6 most intense peaks (2θ = 10–90°), in order of rising 2θ:
| 2theta | I (rel.) |
| --- | --- |
| 20.77 | 5 |
| 34.24 | 100 |
| 49.21 | 18 |
| 61.31 | 38 |
| 72.14 | 12 |
| 82.33 | 17 |

=====

Record 16
Calculated powder diffraction line list of Pm5Lu for λ = 1.5418 Å (Cu Kα), from the GGA-PBE geometry in Alexandria.
No peak broadening, texture or thermal motion is included.

Structure:
Lattice parameters (Å, degrees): 5.119 15.357 5.111 90.00 90.00 90.00
Space group Cmmm (No. 65)
Symmetry-distinct sites (fractional):
Pm 0.000 0.000 0.000 x2
Pm 0.000 0.165 0.500 x4
Pm 0.000 0.334 0.000 x4
Lu 0.000 0.500 0.500 x2

The 6 most intense peaks (2θ = 10–90°), in order of rising 2θ:
| 2theta | I (rel.) |
| --- | --- |
| 30.26 | 100 |
| 35.08 | 51 |
| 50.45 | 36 |
| 59.97 | 43 |
| 62.93 | 12 |
| 82.12 | 18 |